This entry pairs a crystal structure of Li2PrMg10 with its computed powder diffraction line list. Radiation: a wavelength of 1.5418 Å. Structure: DFT lattice parameters and positions (PBE).
Intensities are scaled so that the largest is 100.

Structural model:
a = 7.836 Å, b = 7.836 Å, c = 7.847 Å
α = 97.30°, β = 97.30°, γ = 137.82°
Fractional coordinates of all 13 atoms:
Li (0.000, 0.000, 0.000)
Li (0.500, 0.500, 0.000)
Pr (0.000, 0.000, 0.500)
Mg (0.000, 0.500, 0.500)
Mg (0.006, 0.351, 0.859)
Mg (0.287, 0.495, 0.280)
Mg (0.351, 0.006, 0.859)
Mg (0.495, 0.287, 0.280)
Mg (0.500, 0.000, 0.500)
Mg (0.505, 0.713, 0.720)
Mg (0.649, 0.994, 0.141)
Mg (0.713, 0.505, 0.720)
Mg (0.994, 0.649, 0.141)

Top 10 peaks for 10° ≤ 2θ ≤ 90°, by angle:
2θ 12.1, 7.336 Å, rel. 76.1; 2θ 17.1, 5.181 Å, rel. 44.8; 2θ 17.9, 4.953 Å, rel. 53.1; 2θ 24.9, 3.575 Å, rel. 64.5; 2θ 27.2, 3.274 Å, rel. 44.5; 2θ 30.3, 2.952 Å, rel. 38.7; 2θ 30.4, 2.939 Å, rel. 38.0; 2θ 34.6, 2.590 Å, rel. 46.8; 2θ 34.9, 2.571 Å, rel. 35.4; 2θ 35.1, 2.557 Å, rel. 100.0